# 1
# LaMgI5
Computed powder diffractogram, λ = 1.5418 Å (Cu Kα). Input: a cell relaxed with GGA-PBE.
No peak broadening, texture or thermal motion is included.

Structural model:
Unit cell a=17.5256 b=4.3571 c=15.2255 alpha=90.00 beta=90.00 gamma=90.00
Space group Pnma (No. 62)
One atom of each set of equivalent atoms:
La 0.1560 0.2500 0.2443 [4 per cell]
Mg 0.0922 0.2500 0.7381 [4 per cell]
I 0.0256 0.7500 0.8447 [4 per cell]
I 0.0524 0.7500 0.3631 [4 per cell]
I 0.1538 0.7500 0.0939 [4 per cell]
I 0.1615 0.7500 0.6359 [4 per cell]
I 0.2329 0.2500 0.8494 [4 per cell]

The 6 most intense peaks (2θ from 5° to 70°), by angle:
11.63°, I = 73, (0 0 2); 28.03°, I = 80, (5 0 2); 28.11°, I = 100, (3 1 2); 32.87°, I = 62, (2 1 4); 37.54°, I = 31, (6 1 1); 50.78°, I = 30, (5 2 2)

=====

# 2
# YMg14W
Computed powder diffractogram, λ = 1.5418 Å (Cu Kα). Input: a cell relaxed with GGA-PBE.
No peak broadening, texture or thermal motion is included.

Structural model:
Unit cell a=10.1959 b=6.2555 c=11.2451 alpha=90.00 beta=90.00 gamma=90.00
Space group Amm2 (No. 38)
One atom of each set of equivalent atoms:
Y 0.0000 0.0000 0.0000 [2 per cell]
Mg 0.0000 0.2441 0.2510 [4 per cell]
Mg 0.2346 0.0000 0.6539 [4 per cell]
Mg 0.2472 0.2397 0.4127 [8 per cell]
Mg 0.2587 0.0000 0.1623 [4 per cell]
Mg 0.5000 0.0000 0.4982 [2 per cell]
Mg 0.5000 0.0000 0.9950 [2 per cell]
Mg 0.5000 0.2468 0.7475 [4 per cell]
W 0.0000 0.0000 0.4945 [2 per cell]

The 6 most intense peaks (2θ from 5° to 70°), by angle:
8.67°, I = 100, (1 0 0); 15.76°, I = 28, (0 0 2); 18.02°, I = 40, (1 0 2); 35.21°, I = 31, (4 0 0); 36.50°, I = 46, (2 0 4); 37.33°, I = 82, (2 2 2)

=====

# 3
# Cs2CaAg2H4C6S6N6O2
Computed powder diffractogram, λ = 1.5418 Å (Cu Kα). Input: a cell relaxed with GGA-PBE.
No peak broadening, texture or thermal motion is included.

Structural model:
Unit cell a=8.3389 b=19.3505 c=8.1559 alpha=90.00 beta=90.34 gamma=90.00
Space group P2_1/c (No. 14)
One atom of each set of equivalent atoms:
Cs 0.2479 0.1173 0.0227 [4 per cell]
Ca 0.0000 0.0000 0.5000 [2 per cell]
Ag 0.2713 0.7173 0.5149 [4 per cell]
H 0.3367 0.0451 0.4732 [4 per cell]
H 0.3374 0.5233 0.8710 [4 per cell]
C 0.0166 0.6732 0.8625 [4 per cell]
C 0.1853 0.5606 0.3703 [4 per cell]
C 0.4759 0.1531 0.5391 [4 per cell]
S 0.0635 0.7492 0.2967 [4 per cell]
S 0.2980 0.5854 0.5252 [4 per cell]
S 0.4763 0.2188 0.4103 [4 per cell]
N 0.0198 0.1170 0.5952 [4 per cell]
N 0.1025 0.5399 0.2621 [4 per cell]
N 0.4702 0.1038 0.6256 [4 per cell]
O 0.2704 0.0164 0.3997 [4 per cell]

The 6 most intense peaks (2θ from 5° to 70°), by angle:
11.78°, I = 58, (0 1 1); 17.38°, I = 100, (1 3 0); 17.53°, I = 60, (0 3 1); 21.79°, I = 88, (0 0 2); 24.36°, I = 81, (2 1 -1); 31.71°, I = 98, (1 6 1)

=====

# 4
# BaZnP2O7
Computed powder diffractogram, λ = 1.5418 Å (Cu Kα). Input: a cell relaxed with GGA-PBE.
No peak broadening, texture or thermal motion is included.

Structural model:
Unit cell a=5.3806 b=7.5943 c=7.6851 alpha=102.73 beta=93.12 gamma=94.00
Space group P-1 (No. 2)
One atom of each set of equivalent atoms:
Ba 0.1998 0.2797 0.4345 [2 per cell]
Zn 0.2022 0.1104 0.8939 [2 per cell]
P 0.2953 0.6944 0.8961 [2 per cell]
P 0.2983 0.7676 0.2818 [2 per cell]
O 0.0722 0.8846 0.2960 [2 per cell]
O 0.1152 0.8489 0.9026 [2 per cell]
O 0.2113 0.5336 0.7477 [2 per cell]
O 0.2685 0.6324 0.0842 [2 per cell]
O 0.2955 0.6499 0.4184 [2 per cell]
O 0.4300 0.2316 0.1059 [2 per cell]
O 0.4528 0.1154 0.7032 [2 per cell]

The 6 most intense peaks (2θ from 5° to 70°), by angle:
24.12°, I = 64, (0 2 0); 28.12°, I = 39, (1 0 -2); 28.96°, I = 100, (1 -2 1); 29.30°, I = 38, (0 2 1); 30.12°, I = 55, (1 0 2); 33.48°, I = 38, (2 0 0)

=====

- Which formula does entry 1 have?
  LaMgI5